Record 1
# NaTcCO5
Theoretical powder diffractogram, Cu Ka. Input: a cell relaxed with GGA-PBE.
No peak broadening, texture or thermal motion is included.

Most intense lines, 2θ from 15° to 90°, by angle:
18.97°, I 100
21.66°, I 28
27.55°, I 78
31.42°, I 40
35.76°, I 36
36.45°, I 36
38.50°, I 20
44.67°, I 21
55.20°, I 23
56.85°, I 20

Crystal structure
```
NaTcCO5
1.0
3.1841 -4.1022 0.0000
3.1841 4.1022 0.0000
-3.1796 0.0000 6.3499
Na Tc C O
2 2 2 10
Direct
0.1616 0.8384 0.7500 Na
0.8384 0.1616 0.2500 Na
0.5000 0.5000 0.0000 Tc
0.5000 0.5000 0.5000 Tc
0.1873 0.8127 0.2500 C
0.8127 0.1873 0.7500 C
0.0880 0.2495 0.9004 O
0.1778 0.6199 0.3548 O
0.2495 0.0880 0.4004 O
0.3801 0.8222 0.1452 O
0.4315 0.5685 0.7500 O
0.5685 0.4315 0.2500 O
0.6199 0.1778 0.8548 O
0.7505 0.9120 0.5996 O
0.8222 0.3801 0.6452 O
0.9120 0.7505 0.0996 O
```


Record 2
# NaTiCO5
Theoretical powder diffractogram, Cu Ka. Input: a cell relaxed with GGA-PBE.
No peak broadening, texture or thermal motion is included.

Most intense lines, 2θ from 15° to 90°, by angle:
18.60°, I 67
27.67°, I 100
30.69°, I 68
35.76°, I 33
35.88°, I 43
41.28°, I 19
45.98°, I 18
48.11°, I 18
54.53°, I 21
56.21°, I 18

Crystal structure
```
NaTiCO5
1.0
3.2526 -4.1575 0.0000
3.2526 4.1575 0.0000
-3.1294 0.0000 6.3011
Na Ti C O
2 2 2 10
Direct
0.1663 0.8337 0.7500 Na
0.8337 0.1663 0.2500 Na
0.5000 0.5000 0.0000 Ti
0.5000 0.5000 0.5000 Ti
0.1845 0.8155 0.2500 C
0.8155 0.1845 0.7500 C
0.0901 0.2517 0.8888 O
0.1974 0.6450 0.3702 O
0.2517 0.0901 0.3888 O
0.3550 0.8026 0.1298 O
0.4284 0.5716 0.7500 O
0.5716 0.4284 0.2500 O
0.6450 0.1974 0.8702 O
0.7483 0.9099 0.6112 O
0.8026 0.3550 0.6298 O
0.9099 0.7483 0.1112 O
```